This entry pairs a crystal structure of Y2ScIn2Rh5 with its theoretical powder diffraction line list. Radiation: Cu Kα X-rays. Structure: a cell relaxed with PBE.
Lines closer than 0.1° are merged.

Top 6 peaks for 5° ≤ 2θ ≤ 70°, most intense first:
- 37.13°, I = 100
- 36.86°, I = 34
- 40.19°, I = 34
- 35.79°, I = 31
- 43.06°, I = 29
- 63.61°, I = 20

Structure:
a = 10.3457 Å, b = 10.3457 Å, c = 3.5997 Å
α = 90.00°, β = 90.00°, γ = 90.00°
Fractional positions:
Y 0.1670 0.3330 0.0000
Y 0.3330 0.8330 0.0000
Y 0.6670 0.1670 0.0000
Y 0.8330 0.6670 0.0000
Sc 0.0000 0.0000 0.0000
Sc 0.5000 0.5000 0.0000
In 0.1321 0.6321 0.0000
In 0.3679 0.1321 0.0000
In 0.6321 0.8679 0.0000
In 0.8679 0.3679 0.0000
Rh 0.0000 0.5000 0.5000
Rh 0.0542 0.8040 0.5000
Rh 0.1960 0.0542 0.5000
Rh 0.3040 0.5542 0.5000
Rh 0.4458 0.3040 0.5000
Rh 0.5000 0.0000 0.5000
Rh 0.5542 0.6960 0.5000
Rh 0.6960 0.4458 0.5000
Rh 0.8040 0.9458 0.5000
Rh 0.9458 0.1960 0.5000

=====

This entry pairs a crystal structure of Th2HgGeIr with its theoretical powder diffraction line list. Radiation: Cu Kα X-rays. Structure: a cell relaxed with PBE.
Lines closer than 0.1° are merged.

Top 6 peaks for 5° ≤ 2θ ≤ 70°, most intense first:
- 30.92°, I = 100
- 33.47°, I = 96
- 39.05°, I = 70
- 29.39°, I = 59
- 42.12°, I = 57
- 25.96°, I = 48

Structure:
a = 7.6285 Å, b = 4.2907 Å, c = 8.7036 Å
α = 90.00°, β = 115.87°, γ = 90.00°
Fractional positions:
Th 0.1972 0.2500 0.3495
Th 0.2891 0.2500 0.9703
Th 0.7109 0.7500 0.0297
Th 0.8028 0.7500 0.6505
Hg 0.2448 0.7500 0.6673
Hg 0.7552 0.2500 0.3327
Ge 0.4821 0.7500 0.2835
Ge 0.5179 0.2500 0.7165
Ir 0.1192 0.7500 0.0961
Ir 0.8808 0.2500 0.9039

=====

This entry pairs a crystal structure of PaNiPdRu with its theoretical powder diffraction line list. Radiation: Cu Kα X-rays. Structure: a cell relaxed with PBE.
Lines closer than 0.1° are merged.

Top 6 peaks for 5° ≤ 2θ ≤ 70°, most intense first:
- 38.84°, I = 100
- 42.65°, I = 19
- 45.84°, I = 16
- 46.88°, I = 15
- 64.40°, I = 11
- 20.95°, I = 11

Structure:
a = 3.8760 Å, b = 3.9587 Å, c = 4.2394 Å
α = 90.00°, β = 90.00°, γ = 90.00°
Fractional positions:
Pa 0.0000 0.0000 0.0000
Ni 0.5000 0.0000 0.5000
Pd 0.0000 0.5000 0.5000
Ru 0.5000 0.5000 0.0000

=====

This entry pairs a crystal structure of PrNi2C with its theoretical powder diffraction line list. Radiation: Cu Kα X-rays. Structure: a cell relaxed with PBE.
Lines closer than 0.1° are merged.

Top 6 peaks for 5° ≤ 2θ ≤ 70°, most intense first:
- 34.27°, I = 100
- 35.98°, I = 65
- 34.57°, I = 64
- 30.50°, I = 53
- 39.26°, I = 51
- 41.09°, I = 46

Structure:
a = 5.4335 Å, b = 6.4523 Å, c = 7.0337 Å
α = 90.00°, β = 94.89°, γ = 90.00°
Fractional positions:
Pr 0.1208 0.1321 0.2942
Pr 0.1208 0.3679 0.7942
Pr 0.8792 0.6321 0.2058
Pr 0.8792 0.8679 0.7058
Ni 0.3677 0.6713 0.4901
Ni 0.3677 0.8287 0.9901
Ni 0.4030 0.0292 0.6757
Ni 0.4030 0.4708 0.1757
Ni 0.5970 0.5292 0.8243
Ni 0.5970 0.9708 0.3243
Ni 0.6323 0.1713 0.0099
Ni 0.6323 0.3287 0.5099
C 0.3634 0.7433 0.7419
C 0.3634 0.7567 0.2419
C 0.6366 0.2433 0.7581
C 0.6366 0.2567 0.2581

=====

This entry pairs a crystal structure of Fe3Co5 with its theoretical powder diffraction line list. Radiation: Cu Kα X-rays. Structure: a cell relaxed with PBE.
Lines closer than 0.1° are merged.

Top 4 peaks for 5° ≤ 2θ ≤ 70°, most intense first:
- 45.33°, I = 100
- 45.15°, I = 20
- 65.87°, I = 12
- 66.25°, I = 6

Structure:
a = 4.6794 Å, b = 4.0161 Å, c = 4.9032 Å
α = 90.00°, β = 99.89°, γ = 90.00°
Fractional positions:
Fe 0.0000 0.0000 0.0000
Fe 0.2511 0.5000 0.8725
Fe 0.7489 0.5000 0.1275
Co 0.0000 0.0000 0.5000
Co 0.2468 0.5000 0.3731
Co 0.4994 0.0000 0.2533
Co 0.5006 0.0000 0.7467
Co 0.7532 0.5000 0.6269

=====

This entry pairs a crystal structure of PrAl2Zn10 with its theoretical powder diffraction line list. Radiation: Cu Kα X-rays. Structure: a cell relaxed with PBE.
Lines closer than 0.1° are merged.

Top 6 peaks for 5° ≤ 2θ ≤ 70°, most intense first:
- 38.77°, I = 100
- 40.08°, I = 87
- 40.24°, I = 87
- 34.46°, I = 82
- 40.61°, I = 74
- 32.87°, I = 50

Structure:
a = 8.8857 Å, b = 6.8628 Å, c = 6.8343 Å
α = 80.89°, β = 49.69°, γ = 49.41°
Fractional positions:
Pr 0.0000 0.0000 0.0000
Al 0.0000 0.0000 0.5000
Al 0.5000 0.5000 0.0000
Zn 0.0001 0.3559 0.6441
Zn 0.0000 0.5000 0.0000
Zn 0.9999 0.6441 0.3559
Zn 0.2821 0.4977 0.5023
Zn 0.3559 0.0001 0.9999
Zn 0.4977 0.2821 0.7179
Zn 0.5000 0.0000 0.5000
Zn 0.5023 0.7179 0.2821
Zn 0.6441 0.9999 0.0001
Zn 0.7179 0.5023 0.4977

=====

> What is the formula in the second record?

Th2HgGeIr